For KAl2P2H9O13, a cell relaxed with PBE gives the calculated XRD peak list in this record (Cu Kα, 1.54184 Å).

Largest 6 diffraction maxima, in order of rising 2θ, 2θ from 5° to 70°:
hkl, d/Å, 2theta, I_rel
1 1 0, 6.845, 12.93, 44
0 0 1, 5.598, 15.83, 100
1 2 1, 3.453, 25.80, 62
2 1 1, 3.397, 26.24, 68
1 3 0, 3.116, 28.65, 34
1 3 1, 2.722, 32.90, 35

Structural model:
Lattice parameters (Å, degrees): 9.476 9.897 5.598 90.00 90.00 90.00
Space group Pba2 (No. 32)
One atom of each set of equivalent atoms:
K1 0.000 0.000 0.000 x2
Al1 0.138 0.389 0.041 x4
P1 0.150 0.672 0.791 x4
H1 0.000 0.500 0.358 x2
H2 0.009 0.732 0.374 x4
H3 0.153 0.220 0.394 x4
H4 0.207 0.869 0.421 x4
H5 0.237 0.524 0.412 x4
O1 0.000 0.500 0.185 x2
O2 0.012 0.322 0.816 x4
O3 0.075 0.243 0.279 x4
O4 0.185 0.700 0.523 x4
O5 0.209 0.531 0.856 x4
O6 0.214 0.781 0.956 x4
O7 0.230 0.947 0.314 x4



For KAl3Si3H2O12, a cell relaxed with PBE gives the calculated XRD peak list in this record (Cu Kα, 1.54184 Å).

Largest 6 diffraction maxima, in order of rising 2θ, 2θ from 5° to 70°:
hkl, d/Å, 2theta, I_rel
0 0 2, 10.238, 8.64, 74
1 1 -1, 4.505, 19.71, 78
1 1 -4, 3.559, 25.02, 57
0 0 6, 3.407, 26.15, 88
0 2 5, 3.045, 29.33, 51
2 0 -2, 2.585, 34.70, 100

Structural model:
Lattice parameters (Å, degrees): 5.232 9.108 20.601 90.00 96.29 90.00
Space group Cc (No. 9)
One atom of each set of equivalent atoms:
K1 0.000 0.097 0.000 x4
Al1 0.250 0.420 0.759 x4
Al2 0.253 0.085 0.759 x4
Al3 0.468 0.074 0.389 x4
Si1 0.040 0.429 0.123 x4
Si2 0.056 0.243 0.624 x4
Si3 0.453 0.254 0.892 x4
H1 0.116 0.140 0.192 x4
H2 0.399 0.366 0.333 x4
O1 0.032 0.052 0.205 x4
O2 0.038 0.439 0.202 x4
O3 0.062 0.408 0.590 x4
O4 0.122 0.252 0.702 x4
O5 0.260 0.214 0.408 x4
O6 0.267 0.143 0.590 x4
O7 0.267 0.322 0.100 x4
O8 0.278 0.376 0.924 x4
O9 0.375 0.252 0.810 x4
O10 0.394 0.095 0.923 x4
O11 0.465 0.440 0.305 x4
O12 0.467 0.051 0.304 x4